Record 1
Starting from a structure optimized by DFT (GGA-PBE), the powder XRD pattern of Ca2ScCr was calculated for Cu Kα (weighted mean of Kα1 and Kα2).
Neutral-atom scattering factors, no anomalous dispersion.

Largest 8 diffraction maxima, low angle first, 10° ≤ 2θ ≤ 90°:
2theta	I (rel.)
30.0	12
32.0	100
35.5	56
39.3	26
47.1	12
51.0	21
57.6	11
61.5	26

Unit cell a=3.581 b=3.581 c=8.944 alpha=90.00 beta=90.00 gamma=90.00
Fractional positions:
Ca 0.000 0.000 0.000
Ca 0.500 0.500 0.341
Sc 0.500 0.500 0.718
Cr 0.000 0.000 0.568

Record 2
Starting from a structure optimized by DFT (GGA-PBE), the powder XRD pattern of La5Pm4Tm2 was calculated for Cu Kα (weighted mean of Kα1 and Kα2).
Neutral-atom scattering factors, no anomalous dispersion.

Largest 8 diffraction maxima, low angle first, 10° ≤ 2θ ≤ 90°:
2theta	I (rel.)
29.4	57
30.3	69
30.6	90
30.9	100
31.7	80
31.9	86
33.3	39
59.9	32

Unit cell a=8.965 b=8.965 c=12.048 alpha=95.35 beta=95.35 gamma=23.42
Fractional positions:
La 0.000 0.000 0.000
La 0.230 0.230 0.371
La 0.308 0.308 0.897
La 0.692 0.692 0.103
La 0.770 0.770 0.629
Pm 0.369 0.369 0.178
Pm 0.449 0.449 0.697
Pm 0.551 0.551 0.303
Pm 0.631 0.631 0.822
Tm 0.091 0.091 0.567
Tm 0.909 0.909 0.433

Record 3
Starting from a structure optimized by DFT (GGA-PBE), the powder XRD pattern of DyGe4Ir2 was calculated for Cu Kα (weighted mean of Kα1 and Kα2).
Neutral-atom scattering factors, no anomalous dispersion.

Largest 8 diffraction maxima, low angle first, 10° ≤ 2θ ≤ 90°:
2theta	I (rel.)
28.3	24
35.5	100
36.2	58
39.0	34
42.9	55
46.8	56
59.4	22
69.2	17

Unit cell a=17.204 b=4.214 c=6.783 alpha=90.00 beta=90.00 gamma=90.00
Fractional positions:
Dy 0.142 0.250 0.006
Dy 0.358 0.750 0.506
Dy 0.642 0.250 0.494
Dy 0.858 0.750 0.994
Ge 0.035 0.750 0.868
Ge 0.065 0.250 0.469
Ge 0.181 0.750 0.308
Ge 0.192 0.750 0.729
Ge 0.308 0.250 0.229
Ge 0.319 0.250 0.808
Ge 0.435 0.750 0.969
Ge 0.465 0.250 0.368
Ge 0.535 0.750 0.632
Ge 0.565 0.250 0.031
Ge 0.681 0.750 0.192
Ge 0.692 0.750 0.771
Ge 0.808 0.250 0.271
Ge 0.819 0.250 0.692
Ge 0.935 0.750 0.531
Ge 0.965 0.250 0.132
Ir 0.032 0.750 0.249
Ir 0.212 0.250 0.523
Ir 0.288 0.750 0.023
Ir 0.468 0.250 0.749
Ir 0.532 0.750 0.251
Ir 0.712 0.250 0.977
Ir 0.788 0.750 0.477
Ir 0.968 0.250 0.751

Record 4
Starting from a structure optimized by DFT (GGA-PBE), the powder XRD pattern of Ba9La2S12 was calculated for Cu Kα (weighted mean of Kα1 and Kα2).
Neutral-atom scattering factors, no anomalous dispersion.

Largest 8 diffraction maxima, low angle first, 10° ≤ 2θ ≤ 90°:
2theta	I (rel.)
24.2	47
24.5	15
28.1	100
40.1	37
40.4	35
47.5	16
49.7	19
65.6	16

Unit cell a=7.796 b=7.796 c=14.779 alpha=95.04 beta=95.04 gamma=120.00
Fractional positions:
Ba 0.000 0.000 0.000
Ba 0.098 0.420 0.260
Ba 0.258 0.258 0.741
Ba 0.331 0.669 0.000
Ba 0.420 0.098 0.260
Ba 0.580 0.902 0.740
Ba 0.669 0.331 0.000
Ba 0.742 0.742 0.259
Ba 0.902 0.580 0.740
La 0.167 0.833 0.500
La 0.833 0.167 0.500
S 0.043 0.710 0.131
S 0.095 0.095 0.388
S 0.169 0.537 0.612
S 0.290 0.957 0.869
S 0.376 0.376 0.126
S 0.463 0.831 0.388
S 0.537 0.169 0.612
S 0.624 0.624 0.874
S 0.710 0.043 0.131
S 0.831 0.463 0.388
S 0.905 0.905 0.612
S 0.957 0.290 0.869

Record 5
Starting from a structure optimized by DFT (GGA-PBE), the powder XRD pattern of Pm4Nd2YHo2 was calculated for Cu Kα (weighted mean of Kα1 and Kα2).
Neutral-atom scattering factors, no anomalous dispersion.

Largest 8 diffraction maxima, low angle first, 10° ≤ 2θ ≤ 90°:
2theta	I (rel.)
30.2	100
35.0	34
35.1	17
50.3	18
50.4	18
59.8	29
60.0	14
62.8	12

Unit cell a=8.116 b=8.116 c=8.081 alpha=107.60 beta=107.60 gamma=36.85
Fractional positions:
Pm 0.056 0.056 0.332
Pm 0.278 0.278 0.669
Pm 0.722 0.722 0.331
Pm 0.944 0.944 0.668
Nd 0.388 0.388 0.332
Nd 0.612 0.612 0.668
Y 0.500 0.500 0.000
Ho 0.167 0.167 0.000
Ho 0.833 0.833 0.000

Record 6
Starting from a structure optimized by DFT (GGA-PBE), the powder XRD pattern of SmPu2Al9 was calculated for Cu Kα (weighted mean of Kα1 and Kα2).
Neutral-atom scattering factors, no anomalous dispersion.

Largest 8 diffraction maxima, low angle first, 10° ≤ 2θ ≤ 90°:
2theta	I (rel.)
18.8	92
20.0	33
30.0	99
32.4	93
32.8	44
37.7	41
38.4	100
56.3	36

Unit cell a=9.420 b=9.420 c=9.420 alpha=34.14 beta=34.14 gamma=34.14
Fractional positions:
Sm 0.000 0.000 0.000
Pu 0.144 0.144 0.144
Pu 0.856 0.856 0.856
Al 0.078 0.586 0.586
Al 0.335 0.335 0.335
Al 0.414 0.414 0.922
Al 0.414 0.922 0.414
Al 0.500 0.500 0.500
Al 0.586 0.078 0.586
Al 0.586 0.586 0.078
Al 0.665 0.665 0.665
Al 0.922 0.414 0.414

Record 7
Starting from a structure optimized by DFT (GGA-PBE), the powder XRD pattern of TbPmTm2Bi4 was calculated for Cu Kα (weighted mean of Kα1 and Kα2).
Neutral-atom scattering factors, no anomalous dispersion.

Largest 8 diffraction maxima, low angle first, 10° ≤ 2θ ≤ 90°:
2theta	I (rel.)
24.3	3
28.1	100
40.2	78
49.8	28
58.2	13
65.8	37
73.1	28
86.9	9

Unit cell a=6.341 b=6.341 c=12.696 alpha=90.00 beta=90.00 gamma=90.00
Fractional positions:
Tb 0.000 0.000 0.000
Tb 0.500 0.500 0.500
Pm 0.000 0.000 0.500
Pm 0.500 0.500 0.000
Tm 0.000 0.500 0.250
Tm 0.000 0.500 0.750
Tm 0.500 0.000 0.250
Tm 0.500 0.000 0.750
Bi 0.000 0.000 0.248
Bi 0.000 0.000 0.752
Bi 0.000 0.500 0.000
Bi 0.000 0.500 0.500
Bi 0.500 0.000 0.000
Bi 0.500 0.000 0.500
Bi 0.500 0.500 0.252
Bi 0.500 0.500 0.748

Record 8
Starting from a structure optimized by DFT (GGA-PBE), the powder XRD pattern of TbNd5Ho3 was calculated for Cu Kα (weighted mean of Kα1 and Kα2).
Neutral-atom scattering factors, no anomalous dispersion.

Largest 8 diffraction maxima, low angle first, 10° ≤ 2θ ≤ 90°:
2theta	I (rel.)
28.8	8
30.7	100
31.1	41
31.7	8
32.7	18
35.2	18
38.2	8
54.6	8

Unit cell a=8.937 b=8.937 c=11.653 alpha=108.87 beta=108.87 gamma=44.52
Fractional positions:
Tb 0.241 0.759 0.750
Tb 0.759 0.241 0.250
Nd 0.086 0.256 0.843
Nd 0.256 0.086 0.343
Nd 0.311 0.689 0.250
Nd 0.386 0.392 0.948
Nd 0.392 0.386 0.448
Nd 0.608 0.614 0.552
Nd 0.614 0.608 0.052
Nd 0.689 0.311 0.750
Nd 0.744 0.914 0.657
Nd 0.914 0.744 0.157
Ho 0.000 0.000 0.000
Ho 0.000 0.000 0.500
Ho 0.165 0.356 0.626
Ho 0.356 0.165 0.126
Ho 0.644 0.835 0.874
Ho 0.835 0.644 0.374